For Dy2InCuSe4, a DFT-relaxed cell (PBE, Alexandria) gives the calculated XRD peak list in this record (Cu Ka).
Lines closer than 0.1° are merged.

Atomic structure:
a b c (Å): 4.092 14.061 14.337
angles (deg): 90.00 90.00 90.00
Space group Cmcm (No. 63)
Asymmetric unit:
1 Dy 0.000 0.134 0.065 x8
2 In 0.000 0.388 0.250 x4
3 Cu 0.000 0.340 0.750 x4
4 Se 0.000 0.062 0.250 x4
5 Se 0.000 0.234 0.612 x8
6 Se 0.000 0.500 0.000 x4

Most intense lines, 2θ = 10–90°, sorted by position:
- 14.0°, I = 22, hkl 0 2 1
- 22.5°, I = 46, hkl 0 2 3
- 27.9°, I = 29, hkl 0 2 4
- 29.6°, I = 74, hkl 1 3 1
- 31.6°, I = 100, hkl 1 3 2
- 33.8°, I = 32, hkl 0 2 5
- 38.9°, I = 34, hkl 1 1 5
- 43.0°, I = 30, hkl 0 6 3
- 43.4°, I = 52, hkl 1 5 3
- 44.3°, I = 45, hkl 2 0 0



For LiAl4Zn2O8, a DFT-relaxed cell (PBE, Alexandria) gives the calculated XRD peak list in this record (Cu Ka).
Lines closer than 0.1° are merged.

Atomic structure:
a b c (Å): 10.040 5.772 6.128
angles (deg): 90.00 124.65 90.00
Space group C2/m (No. 12)
Asymmetric unit:
1 Li 0.000 0.000 0.000 x2
2 Al 0.143 0.000 0.433 x4
3 Al 0.250 0.250 0.000 x4
4 Zn 0.000 0.500 0.000 x2
5 Zn 0.000 0.500 0.500 x2
6 O 0.008 0.236 0.756 x8
7 O 0.240 0.000 0.218 x4
8 O 0.247 0.500 0.203 x4

Most intense lines, 2θ = 10–90°, sorted by position:
- 18.8°, I = 100, hkl 1 1 0
- 31.0°, I = 48, hkl 0 2 0
- 34.4°, I = 63, hkl 1 1 -2
- 35.4°, I = 77, hkl 3 1 -2
- 36.1°, I = 74, hkl 3 1 0
- 43.1°, I = 97, hkl 2 2 -2
- 43.8°, I = 47, hkl 4 0 0
- 61.9°, I = 46, hkl 2 2 2
- 64.4°, I = 48, hkl 6 2 -2
- 64.6°, I = 26, hkl 0 4 0



For HoThCuGe, a DFT-relaxed cell (PBE, Alexandria) gives the calculated XRD peak list in this record (Cu Ka).
Lines closer than 0.1° are merged.

Atomic structure:
a b c (Å): 7.142 7.142 7.142
angles (deg): 90.00 90.00 90.00
Space group F-43m (No. 216)
Asymmetric unit:
1 Ho 0.000 0.000 0.000 x4
2 Th 0.000 0.000 0.500 x4
3 Cu 0.250 0.250 0.250 x4
4 Ge 0.250 0.250 0.750 x4

Most intense lines, 2θ = 10–90°, sorted by position:
- 21.6°, I = 3, hkl 1 1 1
- 24.9°, I = 25, hkl 2 0 0
- 35.6°, I = 100, hkl 2 2 0
- 43.9°, I = 8, hkl 2 2 2
- 51.2°, I = 18, hkl 4 0 0
- 57.7°, I = 11, hkl 4 2 0
- 63.9°, I = 36, hkl 4 2 2
- 75.3°, I = 11, hkl 4 4 0
- 80.7°, I = 6, hkl 6 0 0
- 86.1°, I = 16, hkl 6 2 0



For K2Er2NpS6, a DFT-relaxed cell (PBE, Alexandria) gives the calculated XRD peak list in this record (Cu Ka).
Lines closer than 0.1° are merged.

Atomic structure:
a b c (Å): 6.913 11.963 7.877
angles (deg): 90.00 107.24 90.00
Space group C2/m (No. 12)
Asymmetric unit:
1 K 0.000 0.168 0.000 x4
2 Er 0.000 0.334 0.500 x4
3 Np 0.000 0.000 0.500 x2
4 S 0.229 0.166 0.694 x8
5 S 0.237 0.500 0.694 x4

Most intense lines, 2θ = 10–90°, sorted by position:
- 11.8°, I = 100, hkl 0 0 1
- 23.7°, I = 16, hkl 0 0 2
- 26.1°, I = 33, hkl 1 3 0
- 27.0°, I = 29, hkl 2 0 0
- 30.3°, I = 75, hkl 1 3 1
- 38.2°, I = 15, hkl 1 3 2
- 41.3°, I = 18, hkl 1 3 -3
- 45.5°, I = 25, hkl 0 6 0
- 47.1°, I = 20, hkl 3 3 -2
- 55.6°, I = 13, hkl 4 0 0



For VIr4Rh6, a DFT-relaxed cell (PBE, Alexandria) gives the calculated XRD peak list in this record (Cu Ka).
Lines closer than 0.1° are merged.

Atomic structure:
a b c (Å): 4.398 7.750 19.189
angles (deg): 90.00 90.00 90.00
Space group Cmcm (No. 63)
Asymmetric unit:
1 V 0.000 0.114 0.250 x4
2 Ir 0.000 0.229 0.607 x8
3 Ir 0.000 0.331 0.030 x8
4 Rh 0.000 0.000 0.000 x4
5 Rh 0.000 0.099 0.131 x8
6 Rh 0.000 0.229 0.750 x4
7 Rh 0.000 0.427 0.175 x8

Most intense lines, 2θ = 10–90°, sorted by position:
- 23.0°, I = 21, hkl 0 2 0
- 36.4°, I = 23, hkl 0 2 6
- 40.3°, I = 19, hkl 0 2 7
- 40.5°, I = 100, hkl 1 1 7
- 40.8°, I = 71, hkl 1 3 1
- 41.0°, I = 77, hkl 2 0 0
- 41.6°, I = 39, hkl 1 3 2
- 44.6°, I = 28, hkl 1 1 8
- 44.9°, I = 31, hkl 1 3 4
- 74.4°, I = 17, hkl 3 1 7



For Zn9InNi2, a DFT-relaxed cell (PBE, Alexandria) gives the calculated XRD peak list in this record (Cu Ka).
Lines closer than 0.1° are merged.

Atomic structure:
a b c (Å): 10.600 10.600 6.673
angles (deg): 90.00 90.00 90.00
Space group I4_1/amd (No. 141, origin choice 2)
Asymmetric unit:
1 Zn 0.000 0.250 0.375 x4
2 Zn 0.122 0.048 0.186 x32
3 In 0.000 0.250 0.875 x4
4 Ni 0.000 0.000 0.500 x8

Most intense lines, 2θ = 10–90°, sorted by position:
- 33.3°, I = 19, hkl 3 2 1
- 38.0°, I = 100, hkl 4 2 0
- 41.5°, I = 19, hkl 1 0 3
- 43.6°, I = 12, hkl 4 0 2
- 44.9°, I = 42, hkl 5 0 1
- 45.0°, I = 10, hkl 2 1 3
- 47.0°, I = 21, hkl 4 2 2
- 68.6°, I = 16, hkl 5 5 2
- 77.7°, I = 7, hkl 5 3 4
- 81.2°, I = 10, hkl 8 4 0